No. 1
This entry pairs a crystal structure of Rb3NdF6 with its calculated powder diffraction line list. Radiation: Cu Ka. Structure: a PBE-relaxed structure.
Neutral-atom scattering factors, no anomalous dispersion.

Cell and atoms:
```
data_Rb3NdF6
_space_group_name_H-M_alt 'F m -3 m'
_space_group_IT_number 225
_space_group_name_Hall '-F 4 2 3'
_cell_length_a 9.915
_cell_length_b 9.915
_cell_length_c 9.915
_cell_angle_alpha 90.00
_cell_angle_beta 90.00
_cell_angle_gamma 90.00
loop_
_atom_site_label
_atom_site_type_symbol
_atom_site_fract_x
_atom_site_fract_y
_atom_site_fract_z
Rb1 Rb 0.000 0.000 0.000
Rb2 Rb 0.250 0.250 0.250
Nd1 Nd 0.000 0.000 0.500
F1 F 0.000 0.000 0.270
```

Largest 12 diffraction maxima, by angle, 2θ from 5° to 70°:
- 2θ 15.48, I = 8, (1 1 1)
- 2θ 17.89, I = 9, (2 0 0)
- 2θ 25.41, I = 100, (2 2 0)
- 2θ 29.89, I = 3, (3 1 1)
- 2θ 36.24, I = 39, (4 0 0)
- 2θ 40.70, I = 4, (4 2 0)
- 2θ 44.78, I = 42, (4 2 2)
- 2θ 47.66, I = 2, (5 1 1)
- 2θ 52.19, I = 25, (4 4 0)
- 2θ 54.78, I = 2, (5 3 1)
- 2θ 58.91, I = 20, (6 2 0)
- 2θ 65.19, I = 8, (4 4 4)



No. 2
This entry pairs a crystal structure of KPtBr3N with its calculated powder diffraction line list. Radiation: Cu Ka. Structure: a PBE-relaxed structure.
Neutral-atom scattering factors, no anomalous dispersion.

Cell and atoms:
```
data_KPtBr3N
_space_group_name_H-M_alt 'C m c m'
_space_group_IT_number 63
_space_group_name_Hall '-C 2c 2'
_cell_length_a 4.599
_cell_length_b 18.617
_cell_length_c 9.788
_cell_angle_alpha 90.00
_cell_angle_beta 90.00
_cell_angle_gamma 90.00
loop_
_atom_site_label
_atom_site_type_symbol
_atom_site_fract_x
_atom_site_fract_y
_atom_site_fract_z
K1 K 0.000 0.000 0.000
Pt1 Pt 0.000 0.342 0.250
Br1 Br 0.000 0.354 0.502
Br2 Br 0.000 0.484 0.250
N1 N 0.000 0.248 0.250
```

Largest 12 diffraction maxima, by angle, 2θ from 5° to 70°:
- 2θ 13.13, I = 100, (0 2 1)
- 2θ 19.89, I = 68, (1 1 0)
- 2θ 21.88, I = 59, (1 1 1)
- 2θ 24.08, I = 65, (1 3 0)
- 2θ 28.77, I = 35, (0 6 0)
- 2θ 34.03, I = 21, (1 1 3)
- 2θ 36.73, I = 30, (0 0 4)
- 2θ 39.15, I = 47, (2 0 0)
- 2θ 42.11, I = 20, (1 1 4)
- 2θ 44.40, I = 25, (1 3 4)
- 2θ 47.31, I = 18, (0 6 4)
- 2θ 54.76, I = 35, (2 0 4)



No. 3
This entry pairs a crystal structure of TmScB2O6 with its calculated powder diffraction line list. Radiation: Cu Ka. Structure: a PBE-relaxed structure.
Neutral-atom scattering factors, no anomalous dispersion.

Cell and atoms:
```
data_TmScB2O6
_space_group_name_H-M_alt 'R -3'
_space_group_IT_number 148
_space_group_name_Hall '-R 3'
_cell_length_a 4.8810
_cell_length_b 4.8810
_cell_length_c 15.9520
_cell_angle_alpha 90.00
_cell_angle_beta 90.00
_cell_angle_gamma 120.00
loop_
_atom_site_label
_atom_site_type_symbol
_atom_site_fract_x
_atom_site_fract_y
_atom_site_fract_z
Tm1 Tm 0.0000 0.0000 0.0000
Sc1 Sc 0.0000 0.0000 0.5000
B1 B 0.0000 0.0000 0.2463
O1 O 0.0143 0.7231 0.2474
```

Largest 12 diffraction maxima, by angle, 2θ from 5° to 70°:
- 2θ 16.67, I = 30, (0 0 3)
- 2θ 21.75, I = 53, (1 0 1)
- 2θ 23.82, I = 93, (0 1 2)
- 2θ 30.82, I = 100, (1 0 4)
- 2θ 35.24, I = 19, (0 1 5)
- 2θ 36.83, I = 34, (1 1 0)
- 2θ 40.68, I = 32, (2 -1 3)
- 2θ 44.34, I = 29, (2 0 2)
- 2θ 50.62, I = 23, (0 1 8)
- 2θ 50.78, I = 44, (1 1 6)
- 2θ 58.96, I = 23, (1 2 2)
- 2θ 62.64, I = 19, (2 1 4)



No. 4
This entry pairs a crystal structure of Li3Ti2P3O12 with its calculated powder diffraction line list. Radiation: Cu Ka. Structure: a PBE-relaxed structure.
Neutral-atom scattering factors, no anomalous dispersion.

Cell and atoms:
```
data_Li3Ti2P3O12
_space_group_name_H-M_alt 'P 1'
_space_group_IT_number 1
_space_group_name_Hall 'P 1'
_cell_length_a 8.461
_cell_length_b 8.466
_cell_length_c 9.127
_cell_angle_alpha 62.60
_cell_angle_beta 62.39
_cell_angle_gamma 60.07
loop_
_atom_site_label
_atom_site_type_symbol
_atom_site_fract_x
_atom_site_fract_y
_atom_site_fract_z
Li1 Li 0.000 0.000 0.000
Li2 Li 0.061 0.411 0.722
Li3 Li 0.258 0.346 0.997
Li4 Li 0.408 0.809 0.728
Li5 Li 0.573 0.652 0.212
Li6 Li 0.763 0.239 0.512
Ti1 Ti 0.178 0.931 0.298
Ti2 Ti 0.473 0.216 0.425
Ti3 Ti 0.674 0.424 0.820
Ti4 Ti 0.972 0.736 0.902
P1 P 0.079 0.121 0.613
P2 P 0.287 0.617 0.110
P3 P 0.375 0.535 0.611
P4 P 0.581 0.037 0.112
P5 P 0.790 0.824 0.614
P6 P 0.875 0.329 0.111
O1 O 0.080 0.208 0.127
O2 O 0.122 0.087 0.445
O3 O 0.122 0.928 0.762
O4 O 0.159 0.587 0.053
O5 O 0.180 0.535 0.759
O6 O 0.187 0.822 0.129
O7 O 0.201 0.221 0.595
O8 O 0.327 0.467 0.278
O9 O 0.347 0.686 0.438
O10 O 0.458 0.933 0.140
O11 O 0.479 0.335 0.585
O12 O 0.481 0.611 0.960
O13 O 0.496 0.574 0.667
O14 O 0.532 0.072 0.282
O15 O 0.532 0.234 0.971
O16 O 0.587 0.946 0.595
O17 O 0.723 0.283 0.286
O18 O 0.796 0.915 0.056
O19 O 0.810 0.866 0.753
O20 O 0.825 0.608 0.670
O21 O 0.833 0.545 0.061
O22 O 0.863 0.248 0.666
O23 O 0.870 0.284 0.965
O24 O 0.942 0.880 0.441
```

Largest 12 diffraction maxima, by angle, 2θ from 5° to 70°:
- 2θ 14.30, I = 62, (1 1 0)
- 2θ 19.54, I = 54, (1 1 2)
- 2θ 23.97, I = 100, (1 2 2)
- 2θ 28.83, I = 38, (2 2 0)
- 2θ 31.34, I = 42, (2 1 -1)
- 2θ 31.42, I = 20, (1 2 3)
- 2θ 32.54, I = 17, (2 -1 0)
- 2θ 36.79, I = 10, (3 3 2)
- 2θ 38.68, I = 10, (3 0 0)
- 2θ 49.14, I = 9, (4 2 0)
- 2θ 51.48, I = 12, (2 3 5)
- 2θ 57.61, I = 9, (4 -1 1)



No. 5
This entry pairs a crystal structure of MgBO3 with its calculated powder diffraction line list. Radiation: Cu Ka. Structure: a PBE-relaxed structure.
Neutral-atom scattering factors, no anomalous dispersion.

Cell and atoms:
```
data_MgBO3
_space_group_name_H-M_alt 'P m -3 m'
_space_group_IT_number 221
_space_group_name_Hall '-P 4 2 3'
_cell_length_a 3.357
_cell_length_b 3.357
_cell_length_c 3.357
_cell_angle_alpha 90.00
_cell_angle_beta 90.00
_cell_angle_gamma 90.00
loop_
_atom_site_label
_atom_site_type_symbol
_atom_site_fract_x
_atom_site_fract_y
_atom_site_fract_z
Mg1 Mg 0.000 0.000 0.000
B1 B 0.500 0.500 0.500
O1 O 0.000 0.500 0.500
```

Largest 5 diffraction maxima, by angle, 2θ from 5° to 70°:
- 2θ 37.90, I = 20, (1 1 0)
- 2θ 46.87, I = 100, (1 1 1)
- 2θ 54.68, I = 64, (2 0 0)
- 2θ 61.79, I = 1, (2 1 0)
- 2θ 68.45, I = 8, (2 1 1)